[1]
# Dy5In2Ge2
Computed powder X-ray diffraction pattern, copper Kα. Input: the GGA-PBE geometry in Alexandria.
No peak broadening, texture or thermal motion is included.

Main lines, sorted by position (10° ≤ 2θ ≤ 90°):
2θ/deg  I (rel.)
25.59  24.2
30.84  49.0
32.37  100.0
32.54  40.3
32.79  30.8
34.41  58.1
36.97  72.8
38.58  25.4
58.22  19.7
65.50  24.1

Unit cell a=8.776 b=8.776 c=7.780 alpha=90.00 beta=90.00 gamma=52.66
Fractional coordinates of all 18 atoms:
Dy: 0.000 0.000 0.000
Dy: 0.051 0.698 0.673
Dy: 0.198 0.551 0.173
Dy: 0.302 0.949 0.673
Dy: 0.449 0.802 0.173
Dy: 0.500 0.500 0.500
Dy: 0.551 0.198 0.827
Dy: 0.698 0.051 0.327
Dy: 0.802 0.449 0.827
Dy: 0.949 0.302 0.327
In: 0.217 0.217 0.000
In: 0.283 0.283 0.500
In: 0.717 0.717 0.500
In: 0.783 0.783 0.000
Ge: 0.130 0.870 0.367
Ge: 0.370 0.630 0.867
Ge: 0.630 0.370 0.133
Ge: 0.870 0.130 0.633

---

[2]
# HoMgSn
Computed powder X-ray diffraction pattern, copper Kα. Input: the GGA-PBE geometry in Alexandria.
No peak broadening, texture or thermal motion is included.

Main lines, sorted by position (10° ≤ 2θ ≤ 90°):
2θ/deg  I (rel.)
20.83  36.5
32.98  100.0
36.50  58.4
50.00  31.4
51.90  7.2
63.47  31.0
65.11  21.9
65.70  10.7
86.89  13.7
88.36  10.1

Unit cell a=4.923 b=4.923 c=3.524 alpha=90.00 beta=90.00 gamma=120.00
Fractional coordinates of all 3 atoms:
Ho: 0.000 0.000 0.000
Mg: 0.333 0.667 0.500
Sn: 0.667 0.333 0.500

---

[3]
# Pa2AlTe6
Computed powder X-ray diffraction pattern, copper Kα. Input: the GGA-PBE geometry in Alexandria.
No peak broadening, texture or thermal motion is included.

Main lines, sorted by position (10° ≤ 2θ ≤ 90°):
2θ/deg  I (rel.)
17.00  53.9
19.22  54.3
27.68  59.7
29.33  57.7
29.48  75.9
31.89  55.2
32.24  64.1
32.44  77.1
35.82  90.6
36.79  100.0

Unit cell a=7.001 b=7.820 c=11.993 alpha=90.00 beta=125.20 gamma=90.00
Fractional coordinates of all 18 atoms:
Pa: 0.194 0.140 0.246
Pa: 0.194 0.360 0.746
Pa: 0.806 0.640 0.254
Pa: 0.806 0.860 0.754
Al: 0.000 0.000 0.500
Al: 0.000 0.500 0.000
Te: 0.102 0.173 0.943
Te: 0.102 0.327 0.443
Te: 0.287 0.670 0.939
Te: 0.287 0.830 0.439
Te: 0.409 0.025 0.758
Te: 0.409 0.475 0.258
Te: 0.591 0.525 0.742
Te: 0.591 0.975 0.242
Te: 0.713 0.170 0.561
Te: 0.713 0.330 0.061
Te: 0.898 0.673 0.557
Te: 0.898 0.827 0.057

---

[4]
# Ag3SbAu3
Computed powder X-ray diffraction pattern, copper Kα. Input: the GGA-PBE geometry in Alexandria.
No peak broadening, texture or thermal motion is included.

Main lines, sorted by position (10° ≤ 2θ ≤ 90°):
2θ/deg  I (rel.)
26.44  39.9
34.34  100.0
36.08  33.0
39.34  71.9
40.89  81.4
45.28  26.0
49.36  18.1
67.05  20.3
70.27  16.8
73.42  36.8

Unit cell a=8.257 b=8.257 c=8.257 alpha=90.00 beta=90.00 gamma=90.00
Fractional coordinates of all 28 atoms:
Ag: 0.094 0.406 0.594
Ag: 0.119 0.119 0.119
Ag: 0.194 0.806 0.306
Ag: 0.306 0.194 0.806
Ag: 0.381 0.881 0.619
Ag: 0.406 0.594 0.094
Ag: 0.594 0.094 0.406
Ag: 0.619 0.381 0.881
Ag: 0.694 0.694 0.694
Ag: 0.806 0.306 0.194
Ag: 0.881 0.619 0.381
Ag: 0.906 0.906 0.906
Sb: 0.046 0.546 0.954
Sb: 0.454 0.454 0.454
Sb: 0.546 0.954 0.046
Sb: 0.954 0.046 0.546
Au: 0.060 0.743 0.644
Au: 0.144 0.440 0.257
Au: 0.243 0.856 0.940
Au: 0.257 0.144 0.440
Au: 0.356 0.560 0.757
Au: 0.440 0.257 0.144
Au: 0.560 0.757 0.356
Au: 0.644 0.060 0.743
Au: 0.743 0.644 0.060
Au: 0.757 0.356 0.560
Au: 0.856 0.940 0.243
Au: 0.940 0.243 0.856